Diffraction record for SmHg2. The PXRD pattern is computed, not measured: it uses DFT lattice parameters and positions (PBE) and CuKα.
Kinematic intensities with the Lorentz-polarization factor, no thermal factor.

Atomic structure:
```
data_SmHg2
_space_group_name_H-M_alt 'C 1 2/m 1'
_space_group_IT_number 12
_cell_length_a 7.653
_cell_length_b 5.462
_cell_length_c 3.933
_cell_angle_alpha 90.00
_cell_angle_beta 103.67
_cell_angle_gamma 90.00
loop_
_space_group_symop_operation_xyz
'x,y,z'
'-x,-y,-z'
'-x,y,-z'
'x,-y,z'
'x+1/2,y+1/2,z'
'-x+1/2,-y+1/2,-z'
'-x+1/2,y+1/2,-z'
'x+1/2,-y+1/2,z'
loop_
_atom_site_label
_atom_site_fract_x
_atom_site_fract_y
_atom_site_fract_z
Sm1 0.000 0.000 0.000
Hg1 0.163 0.500 0.353
```

Principal peaks in the range 2θ from 10° to 80°, most intense first:
d/Å  Rel. int.
2.705  100
3.049  68
2.257  61
2.731  52
2.034  44
1.850  32
1.572  20
1.467  16
1.457  15
1.352  12